Cs2NpAlSe4: theoretical X-ray powder pattern (Cu Ka), based on DFT lattice parameters and positions (PBE).
Lines closer than 0.1° are merged.

Cell and atoms:
Lattice parameters (Å, degrees): 15.3527 13.7651 8.2093 84.63 63.21 32.17
Positions (direct):
Cs 0.0541 0.0541 0.6959
Cs 0.3041 0.3041 0.9459
Cs 0.6959 0.6959 0.0541
Cs 0.9459 0.9459 0.3041
Np 0.1250 0.1250 0.1250
Np 0.8750 0.8750 0.8750
Al 0.3750 0.3750 0.3750
Al 0.6250 0.6250 0.6250
Se 0.0125 0.6337 0.5428
Se 0.3111 0.5428 0.6337
Se 0.3663 0.9875 0.6889
Se 0.4572 0.6889 0.9875
Se 0.5428 0.3111 0.0125
Se 0.6337 0.0125 0.3111
Se 0.6889 0.4572 0.3663
Se 0.9875 0.3663 0.4572

Main lines, by angle (15° ≤ 2θ ≤ 90°):
Position (°2θ)  d [Å]  I (rel.)
15.20  5.830  32
22.60  3.934  62
23.18  3.837  64
27.71  3.219  28
27.96  3.192  100
29.92  2.987  30
32.89  2.723  27
34.12  2.628  42
41.25  2.189  25
45.63  1.988  37

=====

CsAl4O7: theoretical X-ray powder pattern (Cu Ka), based on DFT lattice parameters and positions (PBE).
Lines closer than 0.1° are merged.

Cell and atoms:
Lattice parameters (Å, degrees): 13.4228 5.4318 5.1194 90.00 90.00 90.00
Positions (direct):
Cs 0.0000 0.2161 0.0000
Cs 0.5000 0.7839 0.5000
Al 0.1221 0.6836 0.4955
Al 0.2483 0.8336 0.9913
Al 0.2517 0.1664 0.4913
Al 0.3779 0.3164 0.9955
Al 0.6221 0.3164 0.9955
Al 0.7483 0.1664 0.4913
Al 0.7517 0.8336 0.9913
Al 0.8779 0.6836 0.4955
O 0.0000 0.7481 0.4008
O 0.1395 0.7505 0.8273
O 0.1546 0.3750 0.4549
O 0.2116 0.8853 0.3277
O 0.2884 0.1147 0.8277
O 0.3454 0.6250 0.9549
O 0.3605 0.2495 0.3273
O 0.5000 0.2519 0.9008
O 0.6395 0.2495 0.3273
O 0.6546 0.6250 0.9549
O 0.7116 0.1147 0.8277
O 0.7884 0.8853 0.3277
O 0.8454 0.3750 0.4549
O 0.8605 0.7505 0.8273

Main lines, by angle (15° ≤ 2θ ≤ 90°):
Position (°2θ)  d [Å]  I (rel.)
18.55  4.783  13
23.88  3.726  25
25.80  3.454  43
26.46  3.369  48
27.38  3.257  100
32.98  2.716  21
35.06  2.560  22
39.49  2.282  13
42.78  2.114  15
47.40  1.918  14

=====

CsAlO: theoretical X-ray powder pattern (Cu Ka), based on DFT lattice parameters and positions (PBE).
Lines closer than 0.1° are merged.

Cell and atoms:
Lattice parameters (Å, degrees): 6.7315 6.7315 7.3850 90.00 90.00 120.00
Positions (direct):
Cs 0.0000 0.6229 0.3333
Cs 0.3771 0.3771 0.0000
Cs 0.6229 0.0000 0.6667
Al 0.0000 0.7793 0.8333
Al 0.2207 0.2207 0.5000
Al 0.7793 0.0000 0.1667
O 0.0000 0.1258 0.3333
O 0.1258 0.0000 0.6667
O 0.8742 0.8742 0.0000

Main lines, by angle (15° ≤ 2θ ≤ 90°):
Position (°2θ)  d [Å]  I (rel.)
19.40  4.576  100
26.48  3.366  72
28.62  3.119  75
29.16  3.063  18
33.04  2.711  43
39.38  2.288  30
42.83  2.111  31
45.66  1.987  19
48.09  1.892  22
56.03  1.641  17

=====

CsPmAlO4: theoretical X-ray powder pattern (Cu Ka), based on DFT lattice parameters and positions (PBE).
Lines closer than 0.1° are merged.

Cell and atoms:
Lattice parameters (Å, degrees): 5.9833 6.0270 8.1032 90.00 107.09 90.00
Positions (direct):
Cs 0.2083 0.2500 0.4323
Cs 0.7917 0.7500 0.5677
Pm 0.3051 0.2500 0.9558
Pm 0.6949 0.7500 0.0442
Al 0.2398 0.7500 0.1529
Al 0.7602 0.2500 0.8471
O 0.0393 0.7500 0.9393
O 0.0447 0.7500 0.2791
O 0.4352 0.5261 0.1601
O 0.4352 0.9739 0.1601
O 0.5648 0.0261 0.8399
O 0.5648 0.4739 0.8399
O 0.9553 0.2500 0.7209
O 0.9607 0.2500 0.0607

Main lines, by angle (15° ≤ 2θ ≤ 90°):
Position (°2θ)  d [Å]  I (rel.)
21.42  4.149  100
21.86  4.065  17
22.97  3.873  28
27.37  3.258  38
27.97  3.190  37
29.64  3.013  42
34.90  2.571  31
36.32  2.474  24
37.83  2.378  21
43.64  2.074  18

=====

Cs2Al2Si3O10: theoretical X-ray powder pattern (Cu Ka), based on DFT lattice parameters and positions (PBE).
Lines closer than 0.1° are merged.

Cell and atoms:
Lattice parameters (Å, degrees): 10.3040 9.7700 13.4009 49.84 46.44 83.72
Positions (direct):
Cs 0.2659 0.7341 0.3420
Cs 0.5920 0.9080 0.5159
Cs 0.7341 0.2659 0.6580
Cs 0.9080 0.5920 0.9841
Al 0.1451 0.8814 0.0325
Al 0.2175 0.3089 0.1049
Al 0.3089 0.2175 0.3686
Al 0.8814 0.1451 0.9411
Si 0.1965 0.3098 0.8809
Si 0.3098 0.1965 0.6127
Si 0.3691 0.6373 0.0535
Si 0.6289 0.6289 0.3711
Si 0.6373 0.3691 0.9402
Si 0.8789 0.8789 0.6211
O 0.0618 0.9651 0.5728
O 0.1111 0.2250 0.7066
O 0.1716 0.3686 0.9807
O 0.2250 0.1111 0.9573
O 0.2492 0.9781 0.8098
O 0.2693 0.7709 0.0784
O 0.2870 0.4402 0.2719
O 0.2927 0.5434 0.0250
O 0.3686 0.1716 0.4791
O 0.4307 0.5428 0.6011
O 0.4402 0.2870 0.0008
O 0.5434 0.2927 0.1389
O 0.5428 0.4307 0.4253
O 0.6489 0.8247 0.8193
O 0.6772 0.8497 0.1882
O 0.7709 0.2693 0.8814
O 0.8247 0.6489 0.7072
O 0.8497 0.6772 0.2849
O 0.9651 0.0618 0.4003
O 0.9781 0.2492 0.9630

Main lines, by angle (15° ≤ 2θ ≤ 90°):
Position (°2θ)  d [Å]  I (rel.)
20.62  4.308  52
21.38  4.156  57
24.04  3.702  54
26.95  3.309  100
28.12  3.173  87
28.40  3.143  58
28.59  3.122  60
30.31  2.949  90
31.03  2.882  51
34.58  2.594  38

=====

Cs2TbAlO4: theoretical X-ray powder pattern (Cu Ka), based on DFT lattice parameters and positions (PBE).
Lines closer than 0.1° are merged.

Cell and atoms:
Lattice parameters (Å, degrees): 13.4704 12.1804 6.9738 84.75 64.22 31.03
Positions (direct):
Cs 0.0548 0.0548 0.6952
Cs 0.3048 0.3048 0.9452
Cs 0.6952 0.6952 0.0548
Cs 0.9452 0.9452 0.3048
Tb 0.1250 0.1250 0.1250
Tb 0.8750 0.8750 0.8750
Al 0.3750 0.3750 0.3750
Al 0.6250 0.6250 0.6250
O 0.0475 0.6243 0.5387
O 0.2894 0.5387 0.6243
O 0.3757 0.9525 0.7106
O 0.4613 0.7106 0.9525
O 0.5387 0.2894 0.0475
O 0.6243 0.0475 0.2894
O 0.7106 0.4613 0.3757
O 0.9525 0.3757 0.4613

Main lines, by angle (15° ≤ 2θ ≤ 90°):
Position (°2θ)  d [Å]  I (rel.)
17.75  4.996  50
25.62  3.476  41
26.54  3.359  100
27.91  3.196  31
32.49  2.756  40
35.12  2.555  34
39.56  2.278  24
45.67  1.986  16
49.11  1.855  26
54.18  1.693  14

=====

Cs2TmAlO4: theoretical X-ray powder pattern (Cu Ka), based on DFT lattice parameters and positions (PBE).
Lines closer than 0.1° are merged.

Cell and atoms:
Lattice parameters (Å, degrees): 13.3257 12.0126 6.9494 84.84 63.87 31.29
Positions (direct):
Cs 0.0532 0.0532 0.6968
Cs 0.3032 0.3032 0.9468
Cs 0.6968 0.6968 0.0532
Cs 0.9468 0.9468 0.3032
Tm 0.1250 0.1250 0.1250
Tm 0.8750 0.8750 0.8750
Al 0.3750 0.3750 0.3750
Al 0.6250 0.6250 0.6250
O 0.0424 0.6282 0.5460
O 0.2834 0.5460 0.6282
O 0.3718 0.9576 0.7166
O 0.4540 0.7166 0.9576
O 0.5460 0.2834 0.0424
O 0.6282 0.0424 0.2834
O 0.7166 0.4540 0.3718
O 0.9576 0.3718 0.4540

Main lines, by angle (15° ≤ 2θ ≤ 90°):
Position (°2θ)  d [Å]  I (rel.)
15.15  5.848  23
18.01  4.924  52
25.99  3.428  38
26.79  3.328  100
27.94  3.193  31
32.80  2.730  37
35.65  2.519  32
40.22  2.242  23
46.35  1.959  15
49.69  1.835  26